1.
The following is a simulated powder diffractogram of TiZn. It was derived from a crystal structure in Alexandria, relaxed with PBE, using a wavelength of 1.5418 Å.
Kinematic intensities with the Lorentz-polarization factor, no thermal factor.

```
data_TiZn
_chemical_formula_sum 'Ti8 Zn8'
_symmetry_space_group_name_H-M 'P 21 21 21'
_symmetry_Int_Tables_number 19
_cell_length_a 4.981
_cell_length_b 5.471
_cell_length_c 9.225
_cell_angle_alpha 90.00
_cell_angle_beta 90.00
_cell_angle_gamma 90.00
loop_
_symmetry_equiv_pos_as_xyz
'x,y,z'
'-x+1/2,-y,z+1/2'
'x+1/2,-y+1/2,-z'
'-x,y+1/2,-z+1/2'
loop_
_atom_site_label
_atom_site_type_symbol
_atom_site_fract_x
_atom_site_fract_y
_atom_site_fract_z
_atom_site_occupancy
Ti1 Ti 0.011 0.071 0.248 1
Ti2 Ti 0.215 0.360 0.507 1
Zn1 Zn 0.005 0.669 0.742 1
Zn2 Zn 0.205 0.863 0.496 1
```

Main lines, in order of rising 2θ (10 to 90 degrees two-theta):
d_spacing, two_theta, intensity, h k l
2.321, 38.81, 85, 1 2 1
2.306, 39.06, 66, 0 0 4
2.191, 41.19, 100, 2 0 2
2.127, 42.49, 60, 1 2 2
1.891, 48.12, 44, 1 2 3
1.462, 63.64, 18, 1 2 5

=====

2.
The following is a simulated powder diffractogram of TiZn4. It was derived from a crystal structure in Alexandria, relaxed with PBE, using a wavelength of 1.5418 Å.
Kinematic intensities with the Lorentz-polarization factor, no thermal factor.

```
data_TiZn4
_chemical_formula_sum 'Ti4 Zn16'
_symmetry_space_group_name_H-M 'I m m a'
_symmetry_Int_Tables_number 74
_symmetry_space_group_name_Hall '-I 2b 2'
_cell_length_a 4.164
_cell_length_b 5.615
_cell_length_c 12.929
_cell_angle_alpha 90.00
_cell_angle_beta 90.00
_cell_angle_gamma 90.00
loop_
_atom_site_label
_atom_site_type_symbol
_atom_site_fract_x
_atom_site_fract_y
_atom_site_fract_z
_atom_site_occupancy
Ti1 Ti 0.000 0.250 0.107 1
Zn1 Zn 0.000 0.000 0.500 1
Zn2 Zn 0.000 0.006 0.302 1
Zn3 Zn 0.000 0.250 0.891 1
```

Main lines, in order of rising 2θ (10 to 90 degrees two-theta):
d_spacing, two_theta, intensity, h k l
2.291, 39.33, 92, 1 2 1
2.197, 41.09, 100, 1 0 5
2.120, 42.65, 39, 0 2 4
2.082, 43.46, 43, 2 0 0
1.223, 78.17, 25, 3 0 5
1.183, 81.34, 24, 1 4 5

=====

3.
The following is a simulated powder diffractogram of TiZn6. It was derived from a crystal structure in Alexandria, relaxed with PBE, using a wavelength of 1.5418 Å.
Kinematic intensities with the Lorentz-polarization factor, no thermal factor.

```
data_TiZn6
_chemical_formula_sum 'Ti3 Zn18'
_symmetry_space_group_name_H-M 'R -3 m'
_symmetry_Int_Tables_number 166
_symmetry_space_group_name_Hall '-R 3 2"'
_cell_length_a 4.2636
_cell_length_b 4.2636
_cell_length_c 21.0137
_cell_angle_alpha 90.00
_cell_angle_beta 90.00
_cell_angle_gamma 120.00
loop_
_atom_site_label
_atom_site_type_symbol
_atom_site_fract_x
_atom_site_fract_y
_atom_site_fract_z
_atom_site_occupancy
Ti1 Ti 0.0000 0.0000 0.0000 1
Zn1 Zn 0.0000 0.0000 0.1309 1
Zn2 Zn 0.0000 0.0000 0.2566 1
Zn3 Zn 0.0000 0.0000 0.3922 1
```

Main lines, in order of rising 2θ (10 to 90 degrees two-theta):
d_spacing, two_theta, intensity, h k l
2.330, 38.65, 26, 1 0 7
2.140, 42.22, 76, 0 1 8
2.132, 42.40, 100, 1 1 0
1.510, 61.38, 23, 2 0 8
1.232, 77.44, 23, 1 2 8
1.171, 82.37, 16, 1 1 15

=====

4.
The following is a simulated powder diffractogram of Ti3Zn. It was derived from a crystal structure in Alexandria, relaxed with PBE, using a wavelength of 1.5418 Å.
Kinematic intensities with the Lorentz-polarization factor, no thermal factor.

```
data_Ti3Zn
_chemical_formula_sum 'Ti6 Zn2'
_symmetry_space_group_name_H-M 'I 4/m m m'
_symmetry_Int_Tables_number 139
_symmetry_space_group_name_Hall '-I 4 2'
_cell_length_a 3.948
_cell_length_b 3.948
_cell_length_c 8.331
_cell_angle_alpha 90.00
_cell_angle_beta 90.00
_cell_angle_gamma 90.00
loop_
_atom_site_label
_atom_site_type_symbol
_atom_site_fract_x
_atom_site_fract_y
_atom_site_fract_z
_atom_site_occupancy
Ti1 Ti 0.000 0.000 0.000 1
Ti2 Ti 0.000 0.500 0.250 1
Zn1 Zn 0.000 0.000 0.500 1
```

Main lines, in order of rising 2θ (10 to 90 degrees two-theta):
d_spacing, two_theta, intensity, h k l
2.319, 38.83, 100, 1 1 2
2.083, 43.45, 18, 0 0 4
1.974, 45.98, 30, 2 0 0
1.433, 65.11, 19, 2 0 4
1.243, 76.65, 11, 1 1 6
1.196, 80.28, 20, 3 1 2

=====

5.
The following is a simulated powder diffractogram of TiZn16. It was derived from a crystal structure in Alexandria, relaxed with PBE, using a wavelength of 1.5418 Å.
Kinematic intensities with the Lorentz-polarization factor, no thermal factor.

```
data_TiZn16
_chemical_formula_sum 'Ti4 Zn64'
_symmetry_space_group_name_H-M 'C m c m'
_symmetry_Int_Tables_number 63
_symmetry_space_group_name_Hall '-C 2c 2'
_cell_length_a 7.743
_cell_length_b 11.360
_cell_length_c 11.717
_cell_angle_alpha 90.00
_cell_angle_beta 90.00
_cell_angle_gamma 90.00
loop_
_atom_site_label
_atom_site_type_symbol
_atom_site_fract_x
_atom_site_fract_y
_atom_site_fract_z
_atom_site_occupancy
Ti1 Ti 0.000 0.047 0.250 1
Zn1 Zn 0.000 0.000 0.000 1
Zn2 Zn 0.000 0.177 0.641 1
Zn3 Zn 0.000 0.290 0.250 1
Zn4 Zn 0.000 0.382 0.530 1
Zn5 Zn 0.165 0.356 0.750 1
Zn6 Zn 0.168 0.186 0.070 1
Zn7 Zn 0.207 0.447 0.135 1
```

Main lines, in order of rising 2θ (10 to 90 degrees two-theta):
d_spacing, two_theta, intensity, h k l
2.247, 40.12, 80, 2 4 1
2.220, 40.65, 72, 1 3 4
2.166, 41.70, 69, 0 2 5
2.160, 41.81, 30, 2 2 4
2.116, 42.74, 100, 3 1 3
2.004, 45.25, 35, 3 3 2

=====

6.
The following is a simulated powder diffractogram of ZrTi2Zn6. It was derived from a crystal structure in Alexandria, relaxed with PBE, using a wavelength of 1.5418 Å.
Kinematic intensities with the Lorentz-polarization factor, no thermal factor.

```
data_ZrTi2Zn6
_chemical_formula_sum 'Zr2 Ti4 Zn12'
_symmetry_space_group_name_H-M 'I m m 2'
_symmetry_Int_Tables_number 44
_cell_length_a 4.328
_cell_length_b 5.759
_cell_length_c 12.567
_cell_angle_alpha 90.00
_cell_angle_beta 90.00
_cell_angle_gamma 90.00
loop_
_symmetry_equiv_pos_as_xyz
'x,y,z'
'-x,-y,z'
'-x,y,z'
'x,-y,z'
'x+1/2,y+1/2,z+1/2'
'-x+1/2,-y+1/2,z+1/2'
'-x+1/2,y+1/2,z+1/2'
'x+1/2,-y+1/2,z+1/2'
loop_
_atom_site_label
_atom_site_type_symbol
_atom_site_fract_x
_atom_site_fract_y
_atom_site_fract_z
_atom_site_occupancy
Zr1 Zr 0.000 0.000 0.000 1
Ti1 Ti 0.000 0.500 0.190 1
Ti2 Ti 0.000 0.500 0.981 1
Zn1 Zn 0.000 0.230 0.590 1
Zn2 Zn 0.000 0.247 0.387 1
Zn3 Zn 0.000 0.250 0.787 1
```

Main lines, in order of rising 2θ (10 to 90 degrees two-theta):
d_spacing, two_theta, intensity, h k l
2.355, 38.22, 100, 1 2 1
2.174, 41.55, 99, 1 0 5
2.164, 41.74, 50, 2 0 0
2.123, 42.59, 34, 0 2 4
1.515, 61.16, 22, 2 2 4
1.200, 79.92, 24, 1 4 5

=====

7.
The following is a simulated powder diffractogram of Zr9Ti4Zn11. It was derived from a crystal structure in Alexandria, relaxed with PBE, using a wavelength of 1.5418 Å.
Kinematic intensities with the Lorentz-polarization factor, no thermal factor.

```
data_Zr9Ti4Zn11
_chemical_formula_sum 'Zr18 Ti8 Zn22'
_symmetry_space_group_name_H-M 'C m m m'
_symmetry_Int_Tables_number 65
_symmetry_space_group_name_Hall '-C 2 2'
_cell_length_a 15.929
_cell_length_b 17.808
_cell_length_c 3.061
_cell_angle_alpha 90.00
_cell_angle_beta 90.00
_cell_angle_gamma 90.00
loop_
_atom_site_label
_atom_site_type_symbol
_atom_site_fract_x
_atom_site_fract_y
_atom_site_fract_z
_atom_site_occupancy
Zr1 Zr 0.000 0.000 0.000 1
Zr2 Zr 0.119 0.413 0.000 1
Zr3 Zr 0.121 0.239 0.000 1
Ti1 Ti 0.149 0.080 0.000 1
Zn1 Zn 0.000 0.141 0.500 1
Zn2 Zn 0.000 0.325 0.500 1
Zn3 Zn 0.000 0.500 0.500 1
Zn4 Zn 0.240 0.500 0.500 1
Zn5 Zn 0.244 0.330 0.500 1
```

Main lines, in order of rising 2θ (10 to 90 degrees two-theta):
d_spacing, two_theta, intensity, h k l
2.427, 37.05, 88, 4 0 1
2.379, 37.81, 100, 4 6 0
2.131, 42.42, 55, 0 6 1
1.991, 45.56, 25, 8 0 0
1.455, 64.00, 24, 8 6 1
1.287, 73.59, 26, 4 6 2

=====

8.
The following is a simulated powder diffractogram of ZrTiZn17. It was derived from a crystal structure in Alexandria, relaxed with PBE, using a wavelength of 1.5418 Å.
Kinematic intensities with the Lorentz-polarization factor, no thermal factor.

```
data_ZrTiZn17
_chemical_formula_sum 'Zr3 Ti3 Zn51'
_symmetry_space_group_name_H-M 'R 3 m'
_symmetry_Int_Tables_number 160
_symmetry_space_group_name_Hall 'R 3 -2"'
_cell_length_a 8.7912
_cell_length_b 8.7912
_cell_length_c 12.9315
_cell_angle_alpha 90.00
_cell_angle_beta 90.00
_cell_angle_gamma 120.00
loop_
_atom_site_label
_atom_site_type_symbol
_atom_site_fract_x
_atom_site_fract_y
_atom_site_fract_z
_atom_site_occupancy
Zr1 Zr 0.0000 0.0000 0.0000 1
Ti1 Ti 0.0000 0.0000 0.3381 1
Zn1 Zn 0.0000 0.0000 0.5619 1
Zn2 Zn 0.0000 0.0000 0.7640 1
Zn3 Zn 0.0304 0.3600 0.3332 1
Zn4 Zn 0.1682 0.3363 0.1474 1
Zn5 Zn 0.1736 0.3473 0.5033 1
Zn6 Zn 0.1821 0.3643 0.8482 1
```

Main lines, in order of rising 2θ (10 to 90 degrees two-theta):
d_spacing, two_theta, intensity, h k l
2.538, 35.37, 34, 3 0 0
2.198, 41.07, 51, 2 2 0
2.187, 41.28, 100, 0 3 3
2.155, 41.92, 33, 0 0 6
2.139, 42.25, 25, 2 0 5
1.958, 46.37, 68, 2 2 3

=====

9.
The following is a simulated powder diffractogram of Zr3Ti13. It was derived from a crystal structure in Alexandria, relaxed with PBE, using a wavelength of 1.5418 Å.
Kinematic intensities with the Lorentz-polarization factor, no thermal factor.

```
data_Zr3Ti13
_chemical_formula_sum 'Zr6 Ti26'
_symmetry_space_group_name_H-M 'A m m 2'
_symmetry_Int_Tables_number 38
_cell_length_a 6.003
_cell_length_b 9.508
_cell_length_c 10.347
_cell_angle_alpha 90.00
_cell_angle_beta 90.00
_cell_angle_gamma 90.00
loop_
_symmetry_equiv_pos_as_xyz
'x,y,z'
'-x,-y,z'
'-x,y,z'
'x,-y,z'
'x,y+1/2,z+1/2'
'-x,-y+1/2,z+1/2'
'-x,y+1/2,z+1/2'
'x,-y+1/2,z+1/2'
loop_
_atom_site_label
_atom_site_type_symbol
_atom_site_fract_x
_atom_site_fract_y
_atom_site_fract_z
_atom_site_occupancy
Zr1 Zr 0.000 0.000 0.000 1
Zr2 Zr 0.254 0.000 0.262 1
Ti1 Ti 0.000 0.000 0.511 1
Ti2 Ti 0.000 0.245 0.834 1
Ti3 Ti 0.251 0.000 0.749 1
Ti4 Ti 0.255 0.244 0.586 1
Ti5 Ti 0.500 0.000 0.001 1
Ti6 Ti 0.500 0.000 0.511 1
Ti7 Ti 0.500 0.240 0.841 1
```

Main lines, in order of rising 2θ (10 to 90 degrees two-theta):
d_spacing, two_theta, intensity, h k l
2.596, 34.55, 24, 2 0 2
2.377, 37.85, 37, 0 4 0
2.279, 39.55, 100, 2 2 2
2.272, 39.67, 46, 0 2 4
1.752, 52.21, 22, 0 4 4
1.352, 69.52, 24, 2 6 2

=====

10.
The following is a simulated powder diffractogram of Zr13Ti2. It was derived from a crystal structure in Alexandria, relaxed with PBE, using a wavelength of 1.5418 Å.
Kinematic intensities with the Lorentz-polarization factor, no thermal factor.

```
data_Zr13Ti2
_chemical_formula_sum 'Zr13 Ti2'
_symmetry_space_group_name_H-M 'P -1'
_symmetry_Int_Tables_number 2
_cell_length_a 5.884
_cell_length_b 7.974
_cell_length_c 8.000
_cell_angle_alpha 65.49
_cell_angle_beta 81.29
_cell_angle_gamma 81.44
loop_
_symmetry_equiv_pos_as_xyz
'x,y,z'
'-x,-y,-z'
loop_
_atom_site_label
_atom_site_type_symbol
_atom_site_fract_x
_atom_site_fract_y
_atom_site_fract_z
_atom_site_occupancy
Zr1 Zr 0.000 0.000 0.000 1
Zr2 Zr 0.098 0.436 0.756 1
Zr3 Zr 0.197 0.198 0.204 1
Zr4 Zr 0.289 0.969 0.627 1
Zr5 Zr 0.297 0.633 0.967 1
Zr6 Zr 0.398 0.399 0.402 1
Zr7 Zr 0.492 0.833 0.172 1
Ti1 Ti 0.099 0.767 0.433 1
```

Main lines, in order of rising 2θ (10 to 90 degrees two-theta):
d_spacing, two_theta, intensity, h k l
2.532, 35.45, 48, 2 1 2
2.526, 35.54, 48, 1 3 1
2.494, 36.02, 100, 1 1 -2
1.778, 51.39, 16, -1 2 4
1.773, 51.54, 16, 3 2 0
1.440, 64.75, 17, 3 -3 0

=====

11.
The following is a simulated powder diffractogram of Tl. It was derived from a crystal structure in Alexandria, relaxed with PBE, using a wavelength of 1.5418 Å.
Kinematic intensities with the Lorentz-polarization factor, no thermal factor.

```
data_Tl
_chemical_formula_sum 'Tl12'
_symmetry_space_group_name_H-M 'A m m 2'
_symmetry_Int_Tables_number 38
_cell_length_a 3.909
_cell_length_b 13.404
_cell_length_c 7.704
_cell_angle_alpha 90.00
_cell_angle_beta 90.00
_cell_angle_gamma 90.00
loop_
_symmetry_equiv_pos_as_xyz
'x,y,z'
'-x,-y,z'
'-x,y,z'
'x,-y,z'
'x,y+1/2,z+1/2'
'-x,-y+1/2,z+1/2'
'-x,y+1/2,z+1/2'
'x,-y+1/2,z+1/2'
loop_
_atom_site_label
_atom_site_type_symbol
_atom_site_fract_x
_atom_site_fract_y
_atom_site_fract_z
_atom_site_occupancy
Tl1 Tl 0.000 0.000 0.000 1
Tl2 Tl 0.000 0.125 0.379 1
Tl3 Tl 0.500 0.000 0.662 1
Tl4 Tl 0.500 0.206 0.051 1
```

Main lines, in order of rising 2θ (10 to 90 degrees two-theta):
d_spacing, two_theta, intensity, h k l
3.861, 23.04, 39, 0 3 1
3.375, 26.41, 29, 1 2 0
2.747, 32.60, 100, 1 0 2
2.541, 35.32, 40, 1 4 0
2.530, 35.48, 42, 0 4 2
1.546, 59.82, 29, 2 4 2

=====

12.
The following is a simulated powder diffractogram of Tl. It was derived from a crystal structure in Alexandria, relaxed with PBE, using a wavelength of 1.5418 Å.
Kinematic intensities with the Lorentz-polarization factor, no thermal factor.

```
data_Tl
_chemical_formula_sum 'Tl4'
_symmetry_space_group_name_H-M 'I 41/a m d'
_symmetry_Int_Tables_number 141
_cell_length_a 6.201
_cell_length_b 6.201
_cell_length_c 3.434
_cell_angle_alpha 90.00
_cell_angle_beta 90.00
_cell_angle_gamma 90.00
loop_
_symmetry_equiv_pos_as_xyz
'x,y,z'
'-x,-y,-z'
'-y+1/4,x+3/4,z+1/4'
'y+1/4,-x+3/4,-z+1/4'
'-x+1/2,-y,z+1/2'
'x+1/2,y,-z+1/2'
'y+1/4,-x+1/4,z+3/4'
'-y+1/4,x+1/4,-z+3/4'
'x,-y,-z'
'-x,y,z'
'-y+1/4,-x+1/4,-z+3/4'
'y+1/4,x+1/4,z+3/4'
'-x+1/2,y,-z+1/2'
'x+1/2,-y,z+1/2'
'y+1/4,x+3/4,-z+1/4'
'-y+1/4,-x+3/4,z+1/4'
'x+1/2,y+1/2,z+1/2'
'-x+1/2,-y+1/2,-z+1/2'
'-y+3/4,x+1/4,z+3/4'
'y+3/4,-x+1/4,-z+3/4'
'-x,-y+1/2,z'
'x,y+1/2,-z'
'y+3/4,-x+3/4,z+1/4'
'-y+3/4,x+3/4,-z+1/4'
'x+1/2,-y+1/2,-z+1/2'
'-x+1/2,y+1/2,z+1/2'
'-y+3/4,-x+3/4,-z+1/4'
'y+3/4,x+3/4,z+1/4'
'-x,y+1/2,-z'
'x,-y+1/2,z'
'y+3/4,x+1/4,-z+3/4'
'-y+3/4,-x+1/4,z+3/4'
loop_
_atom_site_label
_atom_site_type_symbol
_atom_site_fract_x
_atom_site_fract_y
_atom_site_fract_z
_atom_site_occupancy
Tl1 Tl 0.000 0.250 0.375 1
```

Main lines, in order of rising 2θ (10 to 90 degrees two-theta):
d_spacing, two_theta, intensity, h k l
3.101, 28.79, 100, 2 0 0
3.004, 29.74, 92, 1 0 1
2.192, 41.17, 39, 2 2 0
2.158, 41.87, 74, 2 1 1
1.599, 57.65, 29, 1 1 2
1.292, 73.27, 29, 3 1 2